Record 1
Starting from a DFT-relaxed cell (PBE, OQMD), the powder diffractogram of Nd2GeO5 was simulated for Cu Kα (weighted mean of Kα1 and Kα2).

Main lines, sorted by position (2θ from 10° to 90°):
| two_theta | I (rel.) | h k l |
| --- | --- | --- |
| 21.74 | 44 | 3 1 -1 |
| 23.93 | 48 | 4 0 -2 |
| 27.53 | 57 | 0 2 1 |
| 28.58 | 62 | 3 1 -3 |
| 29.30 | 100 | 2 0 2 |
| 29.39 | 20 | 1 1 -3 |
| 33.21 | 63 | 5 1 -1 |
| 34.14 | 19 | 2 0 -4 |
| 36.13 | 17 | 2 2 -3 |
| 39.62 | 27 | 6 0 -4 |
| 43.05 | 17 | 3 3 -1 |
| 56.10 | 25 | 9 1 -3 |

Cell and atoms:
```
data_Nd2GeO5
_chemical_formula_sum 'Nd16 Ge8 O40'
_space_group_name_H-M_alt 'C 1 2/c 1'
_space_group_IT_number 15
_space_group_name_Hall '-C 2yc'
_cell_length_a 15.217
_cell_length_b 6.933
_cell_length_c 10.724
_cell_angle_alpha 90.00
_cell_angle_beta 121.78
_cell_angle_gamma 90.00
loop_
_atom_site_label
_atom_site_type_symbol
_atom_site_fract_x
_atom_site_fract_y
_atom_site_fract_z
Nd1 Nd 0.035 0.247 0.458
Nd2 Nd 0.137 0.144 0.830
Ge1 Ge 0.184 0.407 0.318
O1 O 0.019 0.096 0.901
O2 O 0.084 0.475 0.657
O3 O 0.114 0.198 0.311
O4 O 0.198 0.446 0.963
O5 O 0.199 0.140 0.667
```


Record 2
Starting from a DFT-relaxed cell (PBE, OQMD), the powder diffractogram of Nd2Ge2O7 was simulated for Cu Kα (weighted mean of Kα1 and Kα2).

Main lines, sorted by position (2θ from 10° to 90°):
| two_theta | I (rel.) | h k l |
| --- | --- | --- |
| 25.61 | 20 | 0 2 0 |
| 28.47 | 100 | 0 0 4 |
| 28.93 | 11 | 1 -2 1 |
| 29.26 | 39 | 2 0 -2 |
| 29.56 | 20 | 2 0 2 |
| 29.70 | 11 | -1 2 1 |
| 30.21 | 37 | 2 1 1 |
| 31.50 | 17 | 1 2 -2 |
| 31.65 | 13 | 2 -1 2 |
| 47.71 | 13 | 2 1 5 |
| 49.34 | 13 | 0 2 -6 |
| 54.09 | 11 | 2 3 3 |

Cell and atoms:
```
data_Nd2Ge2O7
_chemical_formula_sum 'Nd8 Ge8 O28'
_space_group_name_H-M_alt 'P -1'
_space_group_IT_number 2
_space_group_name_Hall '-P 1'
_cell_length_a 6.941
_cell_length_b 6.973
_cell_length_c 12.572
_cell_angle_alpha 93.90
_cell_angle_beta 90.57
_cell_angle_gamma 91.32
loop_
_atom_site_label
_atom_site_type_symbol
_atom_site_fract_x
_atom_site_fract_y
_atom_site_fract_z
Nd1 Nd 0.051 0.329 0.116
Nd2 Nd 0.118 0.083 0.361
Nd3 Nd 0.324 0.830 0.111
Nd4 Nd 0.370 0.239 0.627
Ge1 Ge 0.144 0.617 0.384
Ge2 Ge 0.162 0.149 0.883
Ge3 Ge 0.377 0.736 0.601
Ge4 Ge 0.488 0.672 0.833
O1 O 0.002 0.663 0.081
O2 O 0.007 0.013 0.184
O3 O 0.038 0.227 0.566
O4 O 0.067 0.406 0.313
O5 O 0.222 0.924 0.622
O6 O 0.249 0.099 0.010
O7 O 0.290 0.779 0.314
O8 O 0.294 0.723 0.916
O9 O 0.301 0.561 0.494
O10 O 0.352 0.492 0.120
O11 O 0.360 0.212 0.808
O12 O 0.376 0.136 0.216
O13 O 0.389 0.569 0.702
O14 O 0.412 0.159 0.446
```


Record 3
Starting from a DFT-relaxed cell (PBE, OQMD), the powder diffractogram of Nd2Ge2O7 was simulated for Cu Kα (weighted mean of Kα1 and Kα2).

Main lines, sorted by position (2θ from 10° to 90°):
| two_theta | I (rel.) | h k l |
| --- | --- | --- |
| 25.57 | 49 | 0 1 2 |
| 26.12 | 24 | 2 0 0 |
| 28.28 | 85 | 0 0 2 |
| 28.39 | 100 | 0 2 0 |
| 29.29 | 44 | 2 0 1 |
| 29.71 | 74 | 2 1 0 |
| 29.88 | 36 | 2 -1 0 |
| 30.25 | 39 | 0 2 2 |
| 30.80 | 62 | -2 1 1 |
| 32.53 | 42 | 1 2 2 |
| 46.42 | 36 | 2 1 -2 |
| 48.95 | 24 | 0 2 -2 |

Cell and atoms:
```
data_Nd2Ge2O7
_chemical_formula_sum 'Nd4 Ge4 O14'
_space_group_name_H-M_alt 'P 1'
_space_group_IT_number 1
_space_group_name_Hall 'P 1'
_cell_length_a 6.829
_cell_length_b 6.973
_cell_length_c 7.000
_cell_angle_alpha 64.38
_cell_angle_beta 87.45
_cell_angle_gamma 88.55
loop_
_atom_site_label
_atom_site_type_symbol
_atom_site_fract_x
_atom_site_fract_y
_atom_site_fract_z
Nd1 Nd 0.000 0.000 0.000
Nd2 Nd 0.059 0.510 0.484
Nd3 Nd 0.297 0.983 0.487
Nd4 Nd 0.570 0.424 0.843
Ge1 Ge 0.106 0.475 0.969
Ge2 Ge 0.464 0.867 0.031
Ge3 Ge 0.567 0.424 0.346
Ge4 Ge 0.801 0.992 0.501
O1 O 0.013 0.612 0.113
O2 O 0.248 0.609 0.726
O3 O 0.252 0.243 0.099
O4 O 0.288 0.959 0.840
O5 O 0.336 0.791 0.276
O6 O 0.345 0.326 0.481
O7 O 0.559 0.604 0.072
O8 O 0.616 0.821 0.650
O9 O 0.655 0.048 0.968
O10 O 0.662 0.204 0.297
O11 O 0.710 0.493 0.502
O12 O 0.919 0.381 0.860
O13 O 0.967 0.880 0.375
O14 O 0.971 0.106 0.606
```


Record 4
Starting from a DFT-relaxed cell (PBE, OQMD), the powder diffractogram of Nd3GeO5 was simulated for Cu Kα (weighted mean of Kα1 and Kα2).

Main lines, sorted by position (2θ from 10° to 90°):
| two_theta | I (rel.) | h k l |
| --- | --- | --- |
| 16.74 | 18 | 0 1 1 |
| 27.64 | 63 | 0 0 2 |
| 29.94 | 100 | 1 2 -1 |
| 30.44 | 90 | 1 2 1 |
| 37.54 | 40 | 2 0 0 |
| 38.85 | 32 | 0 4 0 |
| 41.39 | 16 | 0 4 1 |
| 46.56 | 14 | 2 0 -2 |
| 47.90 | 22 | 2 0 2 |
| 48.35 | 22 | 0 4 2 |
| 55.13 | 18 | 2 4 0 |
| 65.20 | 14 | 1 6 1 |

Cell and atoms:
```
data_Nd3GeO5
_chemical_formula_sum 'Nd6 Ge2 O10'
_space_group_name_H-M_alt 'P 1 21 1'
_space_group_IT_number 4
_space_group_name_Hall 'P 2yb'
_cell_length_a 4.793
_cell_length_b 9.272
_cell_length_c 6.456
_cell_angle_alpha 90.00
_cell_angle_beta 91.64
_cell_angle_gamma 90.00
loop_
_atom_site_label
_atom_site_type_symbol
_atom_site_fract_x
_atom_site_fract_y
_atom_site_fract_z
Nd1 Nd 0.013 0.000 0.073
Nd2 Nd 0.440 0.543 0.494
Nd3 Nd 0.475 0.268 0.055
Ge1 Ge 0.026 0.307 0.489
O1 O 0.060 0.738 0.045
O2 O 0.081 0.116 0.413
O3 O 0.167 0.416 0.253
O4 O 0.356 0.799 0.580
O5 O 0.485 0.501 0.858
```


Record 5
Starting from a DFT-relaxed cell (PBE, OQMD), the powder diffractogram of Nd2Ge5Os3 was simulated for Cu Kα (weighted mean of Kα1 and Kα2).

Main lines, sorted by position (2θ from 10° to 90°):
| two_theta | I (rel.) | h k l |
| --- | --- | --- |
| 23.15 | 35 | 1 3 0 |
| 32.23 | 27 | 1 1 2 |
| 33.84 | 42 | 2 4 0 |
| 33.97 | 100 | 3 2 1 |
| 35.11 | 53 | 2 0 2 |
| 38.29 | 17 | 1 3 2 |
| 39.70 | 24 | 4 1 1 |
| 41.98 | 82 | 0 4 2 |
| 54.16 | 25 | 3 6 1 |
| 55.93 | 24 | 3 2 3 |
| 62.51 | 18 | 0 0 4 |
| 63.93 | 18 | 6 0 2 |

Cell and atoms:
```
data_Nd2Ge5Os3
_chemical_formula_sum 'Nd8 Ge20 Os12'
_space_group_name_H-M_alt 'I b a m'
_space_group_IT_number 72
_space_group_name_Hall '-I 2 2c'
_cell_length_a 10.024
_cell_length_b 12.482
_cell_length_c 5.944
_cell_angle_alpha 90.00
_cell_angle_beta 90.00
_cell_angle_gamma 90.00
loop_
_atom_site_label
_atom_site_type_symbol
_atom_site_fract_x
_atom_site_fract_y
_atom_site_fract_z
Nd1 Nd 0.231 0.138 0.000
Ge1 Ge 0.000 0.000 0.250
Ge2 Ge 0.000 0.289 0.250
Ge3 Ge 0.171 0.411 0.000
Os1 Os 0.000 0.500 0.250
Os2 Os 0.097 0.147 0.500
```


Record 6
Starting from a DFT-relaxed cell (PBE, OQMD), the powder diffractogram of PrNdGe2Os2 was simulated for Cu Kα (weighted mean of Kα1 and Kα2).

Main lines, sorted by position (2θ from 10° to 90°):
| two_theta | I (rel.) | h k l |
| --- | --- | --- |
| 12.51 | 80 | 0 0 1 |
| 32.21 | 71 | 1 1 1 |
| 32.86 | 34 | 1 0 2 |
| 38.15 | 16 | 0 0 3 |
| 39.21 | 100 | 1 1 2 |
| 42.30 | 58 | 2 0 0 |
| 44.29 | 15 | 2 0 1 |
| 54.58 | 16 | 2 1 2 |
| 58.27 | 19 | 2 0 3 |
| 61.37 | 19 | 2 2 0 |
| 71.02 | 15 | 3 1 1 |
| 75.28 | 30 | 3 1 2 |

Cell and atoms:
```
data_PrNdGe2Os2
_chemical_formula_sum 'Pr1 Nd1 Ge2 Os2'
_space_group_name_H-M_alt 'P 4 m m'
_space_group_IT_number 99
_space_group_name_Hall 'P 4 -2'
_cell_length_a 4.273
_cell_length_b 4.273
_cell_length_c 7.077
_cell_angle_alpha 90.00
_cell_angle_beta 90.00
_cell_angle_gamma 90.00
loop_
_atom_site_label
_atom_site_type_symbol
_atom_site_fract_x
_atom_site_fract_y
_atom_site_fract_z
Pr1 Pr 0.000 0.000 0.000
Nd1 Nd 0.500 0.500 0.635
Ge1 Ge 0.000 0.000 0.515
Ge2 Ge 0.500 0.500 0.125
Os1 Os 0.000 0.500 0.320
```


Record 7
Starting from a DFT-relaxed cell (PBE, OQMD), the powder diffractogram of NdYGe4Os2 was simulated for Cu Kα (weighted mean of Kα1 and Kα2).

Main lines, sorted by position (2θ from 10° to 90°):
| two_theta | I (rel.) | h k l |
| --- | --- | --- |
| 10.88 | 100 | 0 0 1 |
| 28.73 | 33 | 1 1 0 |
| 28.95 | 64 | 1 1 -1 |
| 29.85 | 42 | 0 1 2 |
| 32.56 | 61 | 1 1 1 |
| 33.54 | 28 | 1 0 2 |
| 34.51 | 56 | 1 0 -3 |
| 38.98 | 62 | 0 1 3 |
| 40.12 | 35 | 2 0 -1 |
| 40.78 | 60 | 0 2 0 |
| 54.47 | 30 | 1 2 -3 |
| 58.55 | 23 | 2 2 -1 |

Cell and atoms:
```
data_NdYGe4Os2
_chemical_formula_sum 'Nd1 Y1 Ge4 Os2'
_space_group_name_H-M_alt 'P 1 m 1'
_space_group_IT_number 6
_space_group_name_Hall 'P -2y'
_cell_length_a 4.497
_cell_length_b 4.425
_cell_length_c 8.374
_cell_angle_alpha 90.00
_cell_angle_beta 103.90
_cell_angle_gamma 90.00
loop_
_atom_site_label
_atom_site_type_symbol
_atom_site_fract_x
_atom_site_fract_y
_atom_site_fract_z
Nd1 Nd 0.000 0.000 0.000
Y1 Y 0.783 0.500 0.583
Ge1 Ge 0.075 0.500 0.299
Ge2 Ge 0.353 0.000 0.706
Ge3 Ge 0.437 0.500 0.883
Ge4 Ge 0.719 0.000 0.293
Os1 Os 0.285 0.000 0.413
Os2 Os 0.510 0.500 0.179
```


Record 8
Starting from a DFT-relaxed cell (PBE, OQMD), the powder diffractogram of Nd6GePd2 was simulated for Cu Kα (weighted mean of Kα1 and Kα2).

Main lines, sorted by position (2θ from 10° to 90°):
| two_theta | I (rel.) | h k l |
| --- | --- | --- |
| 29.63 | 100 | 1 1 1 |
| 32.43 | 50 | 2 0 1 |
| 34.53 | 31 | 2 1 0 |
| 38.84 | 25 | 0 0 2 |
| 39.34 | 35 | 3 0 0 |
| 39.78 | 16 | 2 1 1 |
| 47.72 | 7 | 3 1 0 |
| 52.94 | 18 | 2 1 2 |
| 56.47 | 24 | 3 0 2 |
| 62.20 | 23 | 3 2 1 |
| 64.72 | 11 | 1 1 3 |
| 88.61 | 9 | 3 2 3 |

Cell and atoms:
```
data_Nd6GePd2
_chemical_formula_sum 'Nd6 Ge1 Pd2'
_space_group_name_H-M_alt 'P -6 2 m'
_space_group_IT_number 189
_space_group_name_Hall 'P -6 -2'
_cell_length_a 7.9347
_cell_length_b 7.9347
_cell_length_c 4.6371
_cell_angle_alpha 90.00
_cell_angle_beta 90.00
_cell_angle_gamma 120.00
loop_
_atom_site_label
_atom_site_type_symbol
_atom_site_fract_x
_atom_site_fract_y
_atom_site_fract_z
Nd1 Nd 0.0000 0.3933 0.0000
Nd2 Nd 0.0000 0.7296 0.5000
Ge1 Ge 0.0000 0.0000 0.0000
Pd1 Pd 0.3333 0.6667 0.5000
```